Record 1
Starting from a PBE+U-relaxed structure, the X-ray powder pattern of Cd3CoRh3O8 was computed for Cu Kα (λ = 1.5418 Å).

Top 10 peaks for 10° ≤ 2θ ≤ 80°, sorted by position:
- 19.5°, rel. 22
- 26.5°, rel. 10
- 30.9°, rel. 39
- 35.2°, rel. 73
- 39.7°, rel. 100
- 54.5°, rel. 11
- 54.6°, rel. 22
- 60.1°, rel. 28
- 64.0°, rel. 11
- 74.5°, rel. 14

Structural model:
```
15
Lattice="5.329 -3.079 0.000 5.329 3.079 0.000 -3.568 0.000 5.780" Properties=species:S:1:pos:R:3 pbc="T T T"
Cd 0.000 0.000 0.000
Cd 2.665 1.539 0.000
Cd 2.665 -1.539 0.000
Co -1.784 0.000 2.890
Rh 0.881 1.539 2.890
Rh 0.881 -1.539 2.890
Rh 3.545 0.000 2.890
O -0.126 0.000 3.926
O 2.718 1.642 3.930
O 4.373 1.642 1.850
O 1.768 0.000 1.801
O 5.322 0.000 3.979
O 2.718 -1.642 3.930
O 4.373 -1.642 1.850
O 7.216 0.000 1.854
```


Record 2
Starting from a PBE+U-relaxed structure, the X-ray powder pattern of Tl2NiAsO4 was computed for Cu Kα (λ = 1.5418 Å).

Top 10 peaks for 10° ≤ 2θ ≤ 80°, sorted by position:
- 18.9°, rel. 38
- 26.9°, rel. 100
- 28.0°, rel. 97
- 28.6°, rel. 81
- 29.9°, rel. 45
- 31.2°, rel. 75
- 33.4°, rel. 64
- 35.6°, rel. 63
- 40.3°, rel. 38
- 46.1°, rel. 50

Structural model:
```
8
Lattice="5.081 0.000 0.000 -2.218 4.977 0.000 -2.096 -2.093 5.906" Properties=species:S:1:pos:R:3 pbc="T T T"
Tl 0.000 0.000 0.000
Tl 0.309 -0.239 4.046
Ni 2.932 1.362 2.187
As 0.301 3.216 1.664
O -1.441 3.175 1.856
O 0.668 3.572 0.034
O 0.897 1.667 2.173
O 3.076 -0.511 2.746
```


- What is the formula in the first record?
  Cd3CoRh3O8